Record 1
Simulated powder X-ray diffraction pattern
Compound: Li3AlF6
Radiation: CuKα
Structure: a GGA-PBE-relaxed structure

Atomic structure:
Cell lengths 8.393, 8.393, 10.049 Å; angles 93.54, 93.54, 61.09 degrees
Atoms (fractional coordinates):
Li  0.005  0.718  0.232
Li  0.061  0.343  0.432
Li  0.117  0.549  0.946
Li  0.192  0.808  0.750
Li  0.282  0.995  0.268
Li  0.326  0.624  0.456
Li  0.343  0.061  0.932
Li  0.376  0.674  0.044
Li  0.451  0.883  0.554
Li  0.549  0.117  0.446
Li  0.624  0.326  0.956
Li  0.657  0.939  0.068
Li  0.674  0.376  0.544
Li  0.718  0.005  0.732
Li  0.808  0.192  0.250
Li  0.883  0.451  0.054
Li  0.939  0.657  0.568
Li  0.995  0.282  0.768
Al  0.000  0.000  0.000
Al  0.000  0.000  0.500
Al  0.334  0.338  0.701
Al  0.338  0.334  0.201
Al  0.662  0.666  0.799
Al  0.666  0.662  0.299
F  0.063  0.073  0.158
F  0.073  0.063  0.658
F  0.080  0.770  0.062
F  0.087  0.770  0.562
F  0.117  0.426  0.109
F  0.118  0.415  0.604
F  0.230  0.913  0.938
F  0.230  0.920  0.438
F  0.231  0.265  0.825
F  0.243  0.547  0.300
F  0.246  0.556  0.794
F  0.265  0.231  0.325
F  0.414  0.428  0.072
F  0.415  0.118  0.104
F  0.426  0.117  0.609
F  0.428  0.414  0.572
F  0.444  0.754  0.706
F  0.453  0.757  0.200
F  0.547  0.243  0.800
F  0.556  0.246  0.294
F  0.572  0.586  0.428
F  0.574  0.883  0.391
F  0.585  0.882  0.896
F  0.586  0.572  0.928
F  0.735  0.769  0.675
F  0.754  0.444  0.206
F  0.757  0.453  0.700
F  0.769  0.735  0.175
F  0.770  0.080  0.562
F  0.770  0.087  0.062
F  0.882  0.585  0.396
F  0.883  0.574  0.891
F  0.913  0.230  0.438
F  0.920  0.230  0.938
F  0.927  0.937  0.342
F  0.937  0.927  0.842

Most intense lines, 2θ from 10° to 80°, by angle:
20.83°, I 36; 21.10°, I 66; 21.22°, I 100; 22.32°, I 43; 37.42°, I 29; 38.89°, I 37; 40.42°, I 78; 41.66°, I 79; 42.43°, I 40; 49.38°, I 30



Record 2
Simulated powder X-ray diffraction pattern
Compound: Li2Al2P2O9F
Radiation: CuKα
Structure: a GGA-PBE-relaxed structure

Atomic structure:
Cell lengths 5.112, 5.212, 7.054 Å; angles 106.40, 107.89, 99.22 degrees
Atoms (fractional coordinates):
Li  0.000  0.000  0.000
Li  0.461  0.748  0.606
Al  0.728  0.372  0.304
Al  0.733  0.377  0.801
P  0.053  0.023  0.562
P  0.410  0.729  0.044
O  0.027  0.708  0.458
O  0.094  0.612  0.891
O  0.372  0.138  0.714
O  0.431  0.040  0.151
O  0.480  0.579  0.203
O  0.610  0.702  0.915
O  0.638  0.440  0.545
O  0.860  0.054  0.698
O  0.984  0.165  0.397
F  0.835  0.318  0.063

Most intense lines, 2θ from 10° to 80°, by angle:
18.93°, I 100; 26.46°, I 32; 27.04°, I 54; 27.69°, I 69; 27.91°, I 63; 30.01°, I 70; 37.09°, I 27; 42.09°, I 18; 46.18°, I 25; 52.03°, I 17



Record 3
Simulated powder X-ray diffraction pattern
Compound: LiSmAlF6
Radiation: CuKα
Structure: a GGA-PBE-relaxed structure

Atomic structure:
Cell lengths 4.929, 4.929, 11.082 Å; angles 90.00, 90.00, 120.00 degrees
Atoms (fractional coordinates):
Li  0.333  0.667  0.250
Li  0.667  0.333  0.750
Sm  0.000  0.000  0.000
Sm  0.000  0.000  0.500
Al  0.333  0.667  0.750
Al  0.667  0.333  0.250
F  0.029  0.360  0.844
F  0.029  0.669  0.656
F  0.331  0.360  0.656
F  0.331  0.971  0.844
F  0.360  0.029  0.156
F  0.360  0.331  0.344
F  0.640  0.669  0.844
F  0.640  0.971  0.656
F  0.669  0.029  0.344
F  0.669  0.640  0.156
F  0.971  0.331  0.156
F  0.971  0.640  0.344

Most intense lines, 2θ from 10° to 80°, by angle:
20.81°, I 50; 26.36°, I 100; 36.46°, I 12; 38.75°, I 24; 40.04°, I 22; 42.35°, I 10; 45.54°, I 21; 49.50°, I 30; 54.10°, I 13; 59.69°, I 20



Record 4
Simulated powder X-ray diffraction pattern
Compound: SrLiAlF6
Radiation: CuKα
Structure: a GGA-PBE-relaxed structure

Atomic structure:
Cell lengths 5.157, 10.267, 8.507 Å; angles 90.00, 91.06, 90.00 degrees
Atoms (fractional coordinates):
Sr  0.170  0.186  0.025
Sr  0.170  0.314  0.525
Sr  0.830  0.686  0.475
Sr  0.830  0.814  0.975
Li  0.245  0.569  0.168
Li  0.245  0.931  0.668
Li  0.755  0.069  0.332
Li  0.755  0.431  0.832
Al  0.274  0.597  0.761
Al  0.274  0.903  0.261
Al  0.726  0.097  0.739
Al  0.726  0.403  0.239
F  0.025  0.017  0.824
F  0.025  0.483  0.324
F  0.106  0.742  0.232
F  0.106  0.758  0.732
F  0.141  0.602  0.955
F  0.141  0.898  0.455
F  0.380  0.617  0.559
F  0.380  0.883  0.059
F  0.395  0.071  0.276
F  0.395  0.429  0.776
F  0.418  0.154  0.667
F  0.418  0.346  0.167
F  0.582  0.654  0.833
F  0.582  0.846  0.333
F  0.605  0.571  0.224
F  0.605  0.929  0.724
F  0.620  0.117  0.941
F  0.620  0.383  0.441
F  0.859  0.102  0.545
F  0.859  0.398  0.045
F  0.894  0.242  0.268
F  0.894  0.258  0.768
F  0.975  0.517  0.676
F  0.975  0.983  0.176

Most intense lines, 2θ from 10° to 80°, by angle:
13.52°, I 56; 17.23°, I 53; 21.78°, I 50; 26.78°, I 59; 27.23°, I 53; 28.11°, I 57; 28.32°, I 50; 28.80°, I 72; 40.75°, I 100; 41.35°, I 54



Record 5
Simulated powder X-ray diffraction pattern
Compound: SrLiAlF6
Radiation: CuKα
Structure: a GGA-PBE-relaxed structure

Atomic structure:
Cell lengths 5.165, 5.165, 10.353 Å; angles 90.00, 90.00, 120.00 degrees
Atoms (fractional coordinates):
Sr  0.000  0.000  0.000
Sr  0.000  0.000  0.500
Li  0.333  0.667  0.250
Li  0.667  0.333  0.750
Al  0.333  0.667  0.750
Al  0.667  0.333  0.250
F  0.032  0.386  0.649
F  0.032  0.646  0.851
F  0.354  0.386  0.851
F  0.354  0.968  0.649
F  0.386  0.032  0.149
F  0.386  0.354  0.351
F  0.614  0.646  0.649
F  0.614  0.968  0.851
F  0.646  0.032  0.351
F  0.646  0.614  0.149
F  0.968  0.354  0.149
F  0.968  0.614  0.351

Most intense lines, 2θ from 10° to 80°, by angle:
19.85°, I 25; 21.64°, I 13; 26.33°, I 100; 38.97°, I 38; 40.28°, I 33; 44.11°, I 19; 49.88°, I 40; 57.33°, I 22; 62.26°, I 14; 79.39°, I 18



Record 6
Simulated powder X-ray diffraction pattern
Compound: SrLiAlF6
Radiation: CuKα
Structure: a GGA-PBE-relaxed structure

Atomic structure:
Cell lengths 5.173, 8.942, 10.330 Å; angles 90.00, 90.20, 90.00 degrees
Atoms (fractional coordinates):
Sr  0.249  0.239  0.499
Sr  0.249  0.261  0.999
Sr  0.751  0.739  0.001
Sr  0.751  0.761  0.501
Li  0.261  0.585  0.746
Li  0.261  0.915  0.246
Li  0.739  0.085  0.754
Li  0.739  0.415  0.254
Al  0.244  0.583  0.250
Al  0.244  0.917  0.750
Al  0.756  0.083  0.250
Al  0.756  0.417  0.750
F  0.048  0.084  0.150
F  0.048  0.416  0.650
F  0.067  0.052  0.647
F  0.067  0.448  0.147
F  0.131  0.736  0.145
F  0.131  0.764  0.645
F  0.391  0.063  0.850
F  0.391  0.437  0.350
F  0.393  0.728  0.347
F  0.393  0.772  0.847
F  0.471  0.060  0.355
F  0.471  0.440  0.855
F  0.529  0.560  0.145
F  0.529  0.940  0.645
F  0.607  0.228  0.153
F  0.607  0.272  0.653
F  0.609  0.563  0.650
F  0.609  0.937  0.150
F  0.869  0.236  0.355
F  0.869  0.264  0.855
F  0.933  0.552  0.853
F  0.933  0.948  0.353
F  0.952  0.584  0.350
F  0.952  0.916  0.850

Most intense lines, 2θ from 10° to 80°, by angle:
19.84°, I 25; 21.64°, I 13; 26.35°, I 100; 38.96°, I 24; 39.00°, I 13; 40.27°, I 16; 40.35°, I 17; 49.84°, I 16; 49.99°, I 23; 57.33°, I 16



Record 7
Simulated powder X-ray diffraction pattern
Compound: MgAlF5
Radiation: CuKα
Structure: a GGA-PBE-relaxed structure

Atomic structure:
Cell lengths 5.999, 5.999, 5.999 Å; angles 147.70, 97.52, 91.37 degrees
Atoms (fractional coordinates):
Mg  0.000  0.000  0.000
Al  0.500  0.000  0.500
F  0.157  0.500  0.657
F  0.297  0.797  0.500
F  0.500  0.500  0.000
F  0.703  0.203  0.500
F  0.843  0.500  0.343

Most intense lines, 2θ from 10° to 80°, by angle:
21.20°, I 77; 22.48°, I 100; 29.04°, I 20; 35.70°, I 30; 36.84°, I 39; 43.18°, I 26; 49.14°, I 43; 55.06°, I 32; 60.20°, I 10; 66.78°, I 12